Theoretical powder X-ray diffraction pattern
Compound: ReMoN3
Radiation: Cu Kα
Structure: a DFT-relaxed cell (GGA-PBE, the Materials Project)
Lines closer than 0.1° are merged.

Atomic structure:
Unit cell a=5.604 b=7.879 c=8.549 alpha=101.49 beta=109.02 gamma=94.19
Space group P-1 (No. 2)
One atom of each set of equivalent atoms:
Re  0.053  0.351  0.047 [2 per cell]
Re  0.410  0.344  0.432 [2 per cell]
Mo  0.003  0.260  0.697 [2 per cell]
Mo  0.305  0.070  0.565 [2 per cell]
N  0.146  0.293  0.522 [2 per cell]
N  0.149  0.827  0.105 [2 per cell]
N  0.155  0.473  0.890 [2 per cell]
N  0.233  0.088  0.758 [2 per cell]
N  0.340  0.292  0.205 [2 per cell]
N  0.359  0.818  0.463 [2 per cell]

Principal peaks in the range 2θ = 10–90°, low angle first:
| (hkl) | two_theta | I (rel.) |
| --- | --- | --- |
| 0 0 1 | 11.3 | 30 |
| 1 0 -1 | 16.8 | 100 |
| 1 1 -1 | 20.3 | 38 |
| 0 0 2 | 22.6 | 32 |
| 1 0 1 | 23.5 | 37 |
| 0 2 -3 | 36.8 | 33 |


Theoretical powder X-ray diffraction pattern
Compound: MoRuN3
Radiation: Cu Kα
Structure: a DFT-relaxed cell (GGA-PBE, the Materials Project)
Lines closer than 0.1° are merged.

Atomic structure:
Unit cell a=5.574 b=7.900 c=8.168 alpha=63.63 beta=72.55 gamma=72.88
Space group P-1 (No. 2)
One atom of each set of equivalent atoms:
Mo  0.155  0.161  0.384 [2 per cell]
Mo  0.228  0.353  0.980 [2 per cell]
Ru  0.452  0.659  0.689 [2 per cell]
Ru  0.476  0.217  0.699 [2 per cell]
N  0.077  0.630  0.811 [2 per cell]
N  0.207  0.160  0.928 [2 per cell]
N  0.227  0.884  0.469 [2 per cell]
N  0.261  0.236  0.533 [2 per cell]
N  0.440  0.598  0.268 [2 per cell]
N  0.448  0.246  0.162 [2 per cell]

Principal peaks in the range 2θ = 10–90°, low angle first:
| (hkl) | two_theta | I (rel.) |
| --- | --- | --- |
| 0 1 1 | 13.9 | 81 |
| 1 0 0 | 17.0 | 67 |
| 1 1 1 | 17.8 | 100 |
| 1 -1 0 | 23.2 | 69 |
| 0 2 0 | 25.6 | 69 |
| 1 0 2 | 27.2 | 78 |


Theoretical powder X-ray diffraction pattern
Compound: MoS4N2
Radiation: Cu Kα
Structure: a DFT-relaxed cell (GGA-PBE, the Materials Project)
Lines closer than 0.1° are merged.

Atomic structure:
Unit cell a=9.908 b=7.259 c=12.664 alpha=90.00 beta=90.00 gamma=90.00
Space group Pnma (No. 62)
One atom of each set of equivalent atoms:
Mo  0.248  0.250  0.074 [4 per cell]
S  0.036  0.750  0.609 [4 per cell]
S  0.154  0.005  0.141 [8 per cell]
S  0.216  0.250  0.902 [4 per cell]
N  0.044  0.250  0.664 [4 per cell]
N  0.162  0.750  0.892 [4 per cell]

Principal peaks in the range 2θ = 10–90°, low angle first:
| (hkl) | two_theta | I (rel.) |
| --- | --- | --- |
| 0 0 2 | 14.0 | 16 |
| 1 1 1 | 16.7 | 100 |
| 2 0 0 | 17.9 | 17 |
| 0 1 3 | 24.4 | 13 |
| 3 1 1 | 30.6 | 16 |
| 1 1 5 | 38.8 | 12 |


Theoretical powder X-ray diffraction pattern
Compound: MoSeN
Radiation: Cu Kα
Structure: a DFT-relaxed cell (GGA-PBE, the Materials Project)
Lines closer than 0.1° are merged.

Atomic structure:
Unit cell a=3.425 b=3.425 c=8.547 alpha=90.00 beta=90.00 gamma=90.00
Space group P4/nmm (No. 129, origin choice 2)
One atom of each set of equivalent atoms:
Mo  0.250  0.250  0.128 [2 per cell]
Se  0.250  0.250  0.693 [2 per cell]
N  0.250  0.750  0.000 [2 per cell]

Principal peaks in the range 2θ = 10–90°, low angle first:
| (hkl) | two_theta | I (rel.) |
| --- | --- | --- |
| 0 0 1 | 10.3 | 58 |
| 1 0 2 | 33.5 | 100 |
| 1 1 0 | 37.1 | 45 |
| 1 0 3 | 41.2 | 26 |
| 2 0 0 | 53.5 | 25 |
| 2 1 2 | 64.6 | 28 |